The following is a simulated X-ray diffraction stick pattern of Ga3IrPt. It was derived from a structure optimized by DFT (GGA-PBE), using Cu Ka.

abc: 2.947 7.335 8.739
angles: 99.01 99.62 101.53
Element x y z (fractional)
Ga 0.056 0.191 0.423
Ga 0.131 0.525 0.240
Ga 0.203 0.854 0.054
Ga 0.797 0.146 0.946
Ga 0.869 0.475 0.760
Ga 0.944 0.809 0.577
Ir 0.464 0.238 0.193
Ir 0.536 0.762 0.807
Pt 0.357 0.868 0.345
Pt 0.643 0.132 0.655

The 12 most intense peaks (10° ≤ 2θ ≤ 90°), in order of rising 2θ:
12.6 deg, rel. 100.0, hkl 0 1 0
21.0 deg, rel. 53.3, hkl 0 0 2
22.3 deg, rel. 69.8, hkl 0 1 -2
25.3 deg, rel. 43.4, hkl 0 2 0
31.2 deg, rel. 55.1, hkl 1 0 -1
35.5 deg, rel. 69.6, hkl 1 0 1
38.3 deg, rel. 53.3, hkl 0 3 0
41.9 deg, rel. 59.3, hkl 0 3 1
42.2 deg, rel. 83.4, hkl 0 1 -4
42.7 deg, rel. 82.7, hkl 1 1 -3
45.1 deg, rel. 68.5, hkl 1 2 -2
47.4 deg, rel. 42.1, hkl 1 1 2